Diffraction record for NdHoEr2. The XRD peak list is computed, not measured: it uses a cell relaxed with PBE and Cu Kα (weighted mean of Kα1 and Kα2).
Neutral-atom scattering factors, no anomalous dispersion.

Peak list (5 most intense, 5 to 70 degrees two-theta, by angle)
2θ (°)	I/Imax
30.82	100
35.74	51
51.44	36
61.18	43
64.21	12

Structure:
```
data_NdHoEr2
_chemical_formula_sum 'Nd1 Ho1 Er2'
_symmetry_space_group_name_H-M 'P 1'
_symmetry_Int_Tables_number 1
_symmetry_space_group_name_Hall 'P 1'
_cell_length_a 5.028
_cell_length_b 5.028
_cell_length_c 5.018
_cell_angle_alpha 90.00
_cell_angle_beta 90.00
_cell_angle_gamma 90.00
loop_
_atom_site_label
_atom_site_fract_x
_atom_site_fract_y
_atom_site_fract_z
_atom_site_occupancy
Nd1 0.000 0.000 0.000 1
Ho1 0.500 0.500 0.000 1
Er1 0.000 0.500 0.500 1
Er2 0.500 0.000 0.500 1
```


Diffraction record for Nd5HoEr2. The XRD peak list is computed, not measured: it uses a cell relaxed with PBE and Cu Kα (weighted mean of Kα1 and Kα2).
Neutral-atom scattering factors, no anomalous dispersion.

Peak list (12 most intense, 5 to 70 degrees two-theta, by angle)
2θ (°)	I/Imax
27.33	10
30.24	100
30.63	66
31.33	8
42.05	8
42.72	8
43.87	10
45.86	11
53.47	10
58.06	25
59.24	9
61.08	9

Structure:
```
data_Nd5HoEr2
_chemical_formula_sum 'Nd10 Ho2 Er4'
_symmetry_space_group_name_H-M 'P 1'
_symmetry_Int_Tables_number 1
_symmetry_space_group_name_Hall 'P 1'
_cell_length_a 9.106
_cell_length_b 9.106
_cell_length_c 9.106
_cell_angle_alpha 119.10
_cell_angle_beta 119.10
_cell_angle_gamma 91.57
loop_
_atom_site_label
_atom_site_fract_x
_atom_site_fract_y
_atom_site_fract_z
_atom_site_occupancy
Nd1 0.000 0.000 0.000 1
Nd2 0.014 0.514 0.200 1
Nd3 0.186 0.986 0.500 1
Nd4 0.314 0.814 0.800 1
Nd5 0.486 0.686 0.500 1
Nd6 0.500 0.500 0.000 1
Nd7 0.514 0.314 0.500 1
Nd8 0.686 0.186 0.200 1
Nd9 0.814 0.014 0.500 1
Nd10 0.986 0.486 0.800 1
Ho1 0.250 0.250 0.000 1
Ho2 0.750 0.750 0.000 1
Er1 0.146 0.354 0.500 1
Er2 0.354 0.854 0.209 1
Er3 0.646 0.146 0.791 1
Er4 0.854 0.646 0.500 1
```


Diffraction record for NdHoEr6. The XRD peak list is computed, not measured: it uses a cell relaxed with PBE and Cu Kα (weighted mean of Kα1 and Kα2).
Neutral-atom scattering factors, no anomalous dispersion.

Peak list (12 most intense, 5 to 70 degrees two-theta, by angle)
2θ (°)	I/Imax
27.32	33
30.48	89
31.00	100
31.15	40
31.36	40
31.82	37
33.66	34
34.29	39
38.13	28
38.69	22
41.39	22
54.50	21

Structure:
```
data_NdHoEr6
_chemical_formula_sum 'Nd2 Ho2 Er12'
_symmetry_space_group_name_H-M 'P 1'
_symmetry_Int_Tables_number 1
_symmetry_space_group_name_Hall 'P 1'
_cell_length_a 6.628
_cell_length_b 11.730
_cell_length_c 6.532
_cell_angle_alpha 90.00
_cell_angle_beta 91.60
_cell_angle_gamma 90.00
loop_
_atom_site_label
_atom_site_fract_x
_atom_site_fract_y
_atom_site_fract_z
_atom_site_occupancy
Nd1 0.000 0.000 0.000 1
Nd2 0.500 0.500 0.000 1
Ho1 0.000 0.000 0.500 1
Ho2 0.500 0.500 0.500 1
Er1 0.034 0.500 0.252 1
Er2 0.175 0.250 0.745 1
Er3 0.175 0.750 0.745 1
Er4 0.325 0.250 0.255 1
Er5 0.325 0.750 0.255 1
Er6 0.466 0.000 0.748 1
Er7 0.534 0.000 0.252 1
Er8 0.675 0.250 0.745 1
Er9 0.675 0.750 0.745 1
Er10 0.825 0.250 0.255 1
Er11 0.825 0.750 0.255 1
Er12 0.966 0.500 0.748 1
```


Diffraction record for Nd8Ho3Er2. The XRD peak list is computed, not measured: it uses a cell relaxed with PBE and Cu Kα (weighted mean of Kα1 and Kα2).
Neutral-atom scattering factors, no anomalous dispersion.

Peak list (12 most intense, 5 to 70 degrees two-theta, by angle)
2θ (°)	I/Imax
24.63	24
29.29	41
30.64	34
31.18	44
33.03	100
35.08	10
35.31	11
40.13	13
47.81	10
56.66	21
63.65	11
66.71	11

Structure:
```
data_Nd8Ho3Er2
_chemical_formula_sum 'Nd8 Ho3 Er2'
_symmetry_space_group_name_H-M 'P 1'
_symmetry_Int_Tables_number 1
_symmetry_space_group_name_Hall 'P 1'
_cell_length_a 7.735
_cell_length_b 5.737
_cell_length_c 10.876
_cell_angle_alpha 90.00
_cell_angle_beta 110.81
_cell_angle_gamma 90.00
loop_
_atom_site_label
_atom_site_fract_x
_atom_site_fract_y
_atom_site_fract_z
_atom_site_occupancy
Nd1 0.099 0.000 0.288 1
Nd2 0.174 0.500 0.847 1
Nd3 0.311 0.000 0.712 1
Nd4 0.369 0.500 0.238 1
Nd5 0.631 0.500 0.762 1
Nd6 0.689 0.000 0.288 1
Nd7 0.826 0.500 0.153 1
Nd8 0.901 0.000 0.712 1
Ho1 0.214 0.500 0.500 1
Ho2 0.500 0.000 0.500 1
Ho3 0.786 0.500 0.500 1
Er1 0.261 0.000 0.021 1
Er2 0.739 0.000 0.979 1
```


Diffraction record for Nd3Ho7Er. The XRD peak list is computed, not measured: it uses a cell relaxed with PBE and Cu Kα (weighted mean of Kα1 and Kα2).
Neutral-atom scattering factors, no anomalous dispersion.

Peak list (12 most intense, 5 to 70 degrees two-theta, by angle)
2θ (°)	I/Imax
31.28	23
31.73	100
32.10	45
32.36	15
32.49	52
32.79	52
46.03	14
52.76	16
57.50	21
58.15	12
58.66	12
63.34	18

Structure:
```
data_Nd3Ho7Er
_chemical_formula_sum 'Nd3 Ho7 Er1'
_symmetry_space_group_name_H-M 'P 1'
_symmetry_Int_Tables_number 1
_symmetry_space_group_name_Hall 'P 1'
_cell_length_a 6.939
_cell_length_b 5.512
_cell_length_c 9.985
_cell_angle_alpha 90.00
_cell_angle_beta 109.10
_cell_angle_gamma 90.00
loop_
_atom_site_label
_atom_site_fract_x
_atom_site_fract_y
_atom_site_fract_z
_atom_site_occupancy
Nd1 0.000 0.000 0.000 1
Nd2 0.280 0.500 0.495 1
Nd3 0.720 0.500 0.505 1
Ho1 0.000 0.000 0.500 1
Ho2 0.149 0.500 0.789 1
Ho3 0.322 0.500 0.136 1
Ho4 0.426 0.000 0.329 1
Ho5 0.574 0.000 0.671 1
Ho6 0.678 0.500 0.864 1
Ho7 0.851 0.500 0.211 1
Er1 0.500 0.000 0.000 1
```


Diffraction record for NdHoEr2. The XRD peak list is computed, not measured: it uses a cell relaxed with PBE and Cu Kα (weighted mean of Kα1 and Kα2).
Neutral-atom scattering factors, no anomalous dispersion.

Peak list (12 most intense, 5 to 70 degrees two-theta, by angle)
2θ (°)	I/Imax
29.25	34
31.24	51
31.64	100
34.19	89
39.12	12
47.22	12
50.99	40
54.16	20
59.13	20
61.02	46
61.26	15
62.83	15

Structure:
```
data_NdHoEr2
_chemical_formula_sum 'Nd3 Ho3 Er6'
_symmetry_space_group_name_H-M 'P 1'
_symmetry_Int_Tables_number 1
_symmetry_space_group_name_Hall 'P 1'
_cell_length_a 3.582
_cell_length_b 3.582
_cell_length_c 34.362
_cell_angle_alpha 90.00
_cell_angle_beta 90.00
_cell_angle_gamma 120.00
loop_
_atom_site_label
_atom_site_fract_x
_atom_site_fract_y
_atom_site_fract_z
_atom_site_occupancy
Nd1 0.000 0.000 0.000 1
Nd2 0.333 0.667 0.667 1
Nd3 0.667 0.333 0.333 1
Ho1 0.000 0.000 0.166 1
Ho2 0.333 0.667 0.833 1
Ho3 0.667 0.333 0.499 1
Er1 0.000 0.000 0.418 1
Er2 0.000 0.000 0.581 1
Er3 0.333 0.667 0.085 1
Er4 0.333 0.667 0.248 1
Er5 0.667 0.333 0.751 1
Er6 0.667 0.333 0.915 1
```


Diffraction record for NdHo2Er2. The XRD peak list is computed, not measured: it uses a cell relaxed with PBE and Cu Kα (weighted mean of Kα1 and Kα2).
Neutral-atom scattering factors, no anomalous dispersion.

Peak list (12 most intense, 5 to 70 degrees two-theta, by angle)
2θ (°)	I/Imax
26.97	11
30.22	57
30.86	28
32.35	100
34.58	13
39.74	9
42.60	9
47.02	11
49.37	11
55.98	16
58.76	16
58.99	17

Structure:
```
data_NdHo2Er2
_chemical_formula_sum 'Nd2 Ho4 Er4'
_symmetry_space_group_name_H-M 'P 1'
_symmetry_Int_Tables_number 1
_symmetry_space_group_name_Hall 'P 1'
_cell_length_a 9.352
_cell_length_b 9.352
_cell_length_c 3.692
_cell_angle_alpha 90.00
_cell_angle_beta 90.00
_cell_angle_gamma 90.00
loop_
_atom_site_label
_atom_site_fract_x
_atom_site_fract_y
_atom_site_fract_z
_atom_site_occupancy
Nd1 0.000 0.000 0.000 1
Nd2 0.500 0.500 0.000 1
Ho1 0.125 0.375 0.000 1
Ho2 0.375 0.875 0.000 1
Ho3 0.625 0.125 0.000 1
Ho4 0.875 0.625 0.000 1
Er1 0.172 0.672 0.500 1
Er2 0.328 0.172 0.500 1
Er3 0.672 0.828 0.500 1
Er4 0.828 0.328 0.500 1
```


Diffraction record for NdHo2Er12. The XRD peak list is computed, not measured: it uses a cell relaxed with PBE and Cu Kα (weighted mean of Kα1 and Kα2).
Neutral-atom scattering factors, no anomalous dispersion.

Peak list (12 most intense, 5 to 70 degrees two-theta, by angle)
2θ (°)	I/Imax
30.61	100
31.48	43
32.43	68
32.59	38
32.80	70
33.94	32
36.52	15
46.64	28
51.78	18
55.70	12
60.55	21
62.44	21

Structure:
```
data_NdHo2Er12
_chemical_formula_sum 'Nd2 Ho4 Er24'
_symmetry_space_group_name_H-M 'P 1'
_symmetry_Int_Tables_number 1
_symmetry_space_group_name_Hall 'P 1'
_cell_length_a 6.554
_cell_length_b 6.554
_cell_length_c 24.127
_cell_angle_alpha 92.20
_cell_angle_beta 92.20
_cell_angle_gamma 114.80
loop_
_atom_site_label
_atom_site_fract_x
_atom_site_fract_y
_atom_site_fract_z
_atom_site_occupancy
Nd1 0.250 0.250 0.000 1
Nd2 0.750 0.750 0.000 1
Ho1 0.068 0.068 0.272 1
Ho2 0.432 0.432 0.728 1
Ho3 0.568 0.568 0.272 1
Ho4 0.932 0.932 0.728 1
Er1 0.050 0.550 0.203 1
Er2 0.083 0.583 0.331 1
Er3 0.138 0.638 0.555 1
Er4 0.143 0.143 0.574 1
Er5 0.215 0.215 0.861 1
Er6 0.231 0.731 0.924 1
Er7 0.269 0.769 0.076 1
Er8 0.285 0.285 0.139 1
Er9 0.357 0.357 0.425 1
Er10 0.362 0.862 0.445 1
Er11 0.417 0.917 0.669 1
Er12 0.450 0.950 0.797 1
Er13 0.550 0.050 0.203 1
Er14 0.583 0.083 0.331 1
Er15 0.638 0.138 0.555 1
Er16 0.643 0.643 0.575 1
Er17 0.715 0.715 0.861 1
Er18 0.731 0.231 0.924 1
Er19 0.769 0.269 0.076 1
Er20 0.785 0.785 0.139 1
Er21 0.857 0.857 0.426 1
Er22 0.862 0.362 0.445 1
Er23 0.917 0.417 0.669 1
Er24 0.950 0.450 0.797 1
```


Diffraction record for Nd3HoEr7. The XRD peak list is computed, not measured: it uses a cell relaxed with PBE and Cu Kα (weighted mean of Kα1 and Kα2).
Neutral-atom scattering factors, no anomalous dispersion.

Peak list (12 most intense, 5 to 70 degrees two-theta, by angle)
2θ (°)	I/Imax
31.39	23
31.81	100
32.14	44
32.38	16
32.62	51
32.89	52
46.19	14
46.62	11
52.84	12
57.71	21
58.36	12
63.47	18

Structure:
```
data_Nd3HoEr7
_chemical_formula_sum 'Nd3 Ho1 Er7'
_symmetry_space_group_name_H-M 'P 1'
_symmetry_Int_Tables_number 1
_symmetry_space_group_name_Hall 'P 1'
_cell_length_a 6.931
_cell_length_b 5.491
_cell_length_c 9.965
_cell_angle_alpha 90.00
_cell_angle_beta 109.25
_cell_angle_gamma 90.00
loop_
_atom_site_label
_atom_site_fract_x
_atom_site_fract_y
_atom_site_fract_z
_atom_site_occupancy
Nd1 0.000 0.000 0.000 1
Nd2 0.280 0.500 0.495 1
Nd3 0.720 0.500 0.505 1
Ho1 0.500 0.000 0.000 1
Er1 0.000 0.000 0.500 1
Er2 0.150 0.500 0.789 1
Er3 0.321 0.500 0.137 1
Er4 0.426 0.000 0.329 1
Er5 0.574 0.000 0.671 1
Er6 0.679 0.500 0.863 1
Er7 0.850 0.500 0.211 1
```


Diffraction record for Nd4Ho3Er2. The XRD peak list is computed, not measured: it uses a cell relaxed with PBE and Cu Kα (weighted mean of Kα1 and Kα2).
Neutral-atom scattering factors, no anomalous dispersion.

Peak list (11 most intense, 5 to 70 degrees two-theta, by angle)
2θ (°)	I/Imax
30.50	100
35.28	34
35.53	17
50.77	18
50.97	18
60.28	7
60.40	22
60.64	7
60.77	7
63.40	6
63.55	6

Structure:
```
data_Nd4Ho3Er2
_chemical_formula_sum 'Nd4 Ho3 Er2'
_symmetry_space_group_name_H-M 'P 1'
_symmetry_Int_Tables_number 1
_symmetry_space_group_name_Hall 'P 1'
_cell_length_a 6.197
_cell_length_b 6.197
_cell_length_c 10.779
_cell_angle_alpha 106.46
_cell_angle_beta 106.46
_cell_angle_gamma 48.45
loop_
_atom_site_label
_atom_site_fract_x
_atom_site_fract_y
_atom_site_fract_z
_atom_site_occupancy
Nd1 0.001 0.001 0.333 1
Nd2 0.334 0.334 0.111 1
Nd3 0.666 0.666 0.889 1
Nd4 0.999 0.999 0.667 1
Ho1 0.000 0.000 0.000 1
Ho2 0.334 0.334 0.446 1
Ho3 0.666 0.666 0.554 1
Er1 0.332 0.332 0.776 1
Er2 0.668 0.668 0.224 1
```


Diffraction record for Nd10Ho4Er. The XRD peak list is computed, not measured: it uses a cell relaxed with PBE and Cu Kα (weighted mean of Kα1 and Kα2).
Neutral-atom scattering factors, no anomalous dispersion.

Peak list (11 most intense, 5 to 70 degrees two-theta, by angle)
2θ (°)	I/Imax
19.70	30
22.78	10
32.44	100
38.24	17
40.01	3
46.53	18
50.99	7
52.42	4
57.87	38
61.75	6
67.92	12

Structure:
```
data_Nd10Ho4Er
_chemical_formula_sum 'Nd10 Ho4 Er1'
_symmetry_space_group_name_H-M 'P 1'
_symmetry_Int_Tables_number 1
_symmetry_space_group_name_Hall 'P 1'
_cell_length_a 9.562
_cell_length_b 9.562
_cell_length_c 9.562
_cell_angle_alpha 99.58
_cell_angle_beta 99.58
_cell_angle_gamma 131.84
loop_
_atom_site_label
_atom_site_fract_x
_atom_site_fract_y
_atom_site_fract_z
_atom_site_occupancy
Nd1 0.050 0.350 0.899 1
Nd2 0.151 0.050 0.700 1
Nd3 0.250 0.750 0.500 1
Nd4 0.350 0.451 0.300 1
Nd5 0.451 0.151 0.101 1
Nd6 0.549 0.849 0.899 1
Nd7 0.650 0.549 0.700 1
Nd8 0.750 0.250 0.500 1
Nd9 0.849 0.950 0.300 1
Nd10 0.950 0.650 0.101 1
Ho1 0.100 0.701 0.801 1
Ho2 0.299 0.100 0.400 1
Ho3 0.701 0.900 0.600 1
Ho4 0.900 0.299 0.199 1
Er1 0.500 0.500 0.000 1
```


Diffraction record for Nd2Ho2Er3. The XRD peak list is computed, not measured: it uses a cell relaxed with PBE and Cu Kα (weighted mean of Kα1 and Kα2).
Neutral-atom scattering factors, no anomalous dispersion.

Peak list (12 most intense, 5 to 70 degrees two-theta, by angle)
2θ (°)	I/Imax
22.42	11
29.07	100
31.91	49
34.54	90
39.35	17
45.75	10
47.73	34
51.52	13
58.57	38
61.90	20
65.12	10
68.26	14

Structure:
```
data_Nd2Ho2Er3
_chemical_formula_sum 'Nd4 Ho4 Er6'
_symmetry_space_group_name_H-M 'P 1'
_symmetry_Int_Tables_number 1
_symmetry_space_group_name_Hall 'P 1'
_cell_length_a 8.414
_cell_length_b 8.414
_cell_length_c 8.414
_cell_angle_alpha 109.47
_cell_angle_beta 109.47
_cell_angle_gamma 109.47
loop_
_atom_site_label
_atom_site_fract_x
_atom_site_fract_y
_atom_site_fract_z
_atom_site_occupancy
Nd1 0.000 0.813 0.500 1
Nd2 0.500 0.000 0.813 1
Nd3 0.687 0.687 0.687 1
Nd4 0.813 0.500 0.000 1
Ho1 0.000 0.414 0.500 1
Ho2 0.086 0.086 0.086 1
Ho3 0.414 0.500 0.000 1
Ho4 0.500 0.000 0.414 1
Er1 0.194 0.750 0.944 1
Er2 0.250 0.556 0.306 1
Er3 0.306 0.250 0.556 1
Er4 0.556 0.306 0.250 1
Er5 0.750 0.944 0.194 1
Er6 0.944 0.194 0.750 1
```